1.
For Sr3As5, a crystal structure in Alexandria, relaxed with PBE gives the computed powder diffractogram in this record (CuKα).

Structural model:
a = 9.0410 Å, b = 9.0410 Å, c = 6.3285 Å
α = 90.00°, β = 90.00°, γ = 120.00°
Atoms (fractional coordinates):
Sr1 0.0000 0.3887 0.2500
Sr2 0.0000 0.6113 0.7500
Sr3 0.3887 0.0000 0.2500
Sr4 0.3887 0.3887 0.7500
Sr5 0.6113 0.0000 0.7500
Sr6 0.6113 0.6113 0.2500
As1 0.0000 0.1600 0.7500
As2 0.0000 0.8400 0.2500
As3 0.1600 0.0000 0.7500
As4 0.1600 0.1600 0.2500
As5 0.3333 0.6667 0.0000
As6 0.3333 0.6667 0.5000
As7 0.6667 0.3333 0.0000
As8 0.6667 0.3333 0.5000
As9 0.8400 0.0000 0.2500
As10 0.8400 0.8400 0.7500

Principal peaks in the range 15 to 90 degrees two-theta, low angle first:
2θ/deg	d (Å)	intensity
24.2	3.678	42
30.5	2.934	43
33.4	2.681	100
34.6	2.592	43
36.5	2.461	31
41.6	2.172	36
42.5	2.129	56
49.6	1.839	31


2.
For Zn8GaAu2, a crystal structure in Alexandria, relaxed with PBE gives the computed powder diffractogram in this record (CuKα).

Structural model:
a = 7.1242 Å, b = 7.1242 Å, c = 6.8479 Å
α = 99.67°, β = 99.67°, γ = 31.20°
Atoms (fractional coordinates):
Zn1 0.0386 0.0386 0.2217
Zn2 0.1381 0.1381 0.7089
Zn3 0.3201 0.3201 0.5763
Zn4 0.4052 0.4052 0.0252
Zn5 0.5948 0.5948 0.9748
Zn6 0.6799 0.6799 0.4237
Zn7 0.8619 0.8619 0.2911
Zn8 0.9614 0.9614 0.7783
Ga1 0.5000 0.5000 0.5000
Au1 0.2258 0.2258 0.1668
Au2 0.7742 0.7742 0.8332

Principal peaks in the range 15 to 90 degrees two-theta, low angle first:
2θ/deg	d (Å)	intensity
27.0	3.301	15
37.0	2.431	100
41.2	2.193	78
44.3	2.043	29
44.6	2.032	32
47.5	1.916	27
67.0	1.397	18
67.2	1.394	19


3.
For NaCa2PbF, a crystal structure in Alexandria, relaxed with PBE gives the computed powder diffractogram in this record (CuKα).

Structural model:
a = 5.0230 Å, b = 5.0230 Å, c = 4.7200 Å
α = 90.00°, β = 90.00°, γ = 90.00°
Atoms (fractional coordinates):
Na1 0.0000 0.0000 0.0000
Ca1 0.0000 0.5000 0.5000
Ca2 0.5000 0.0000 0.5000
Pb1 0.5000 0.5000 0.0000
F1 0.0000 0.0000 0.5000

Principal peaks in the range 15 to 90 degrees two-theta, low angle first:
2θ/deg	d (Å)	intensity
17.7	5.023	56
25.1	3.552	27
25.9	3.440	75
31.5	2.838	100
35.8	2.511	46
44.7	2.028	36
53.3	1.720	28
61.6	1.505	29